1.
# YZn4Ag4
Theoretical XRD peak list, Cu Ka. Input: a PBE-relaxed structure.
Neutral-atom scattering factors, no anomalous dispersion.

Structural model:
```
data_YZn4Ag4
_cell_length_a 8.4998
_cell_length_b 8.4998
_cell_length_c 4.6883
_cell_angle_alpha 90.00
_cell_angle_beta 90.00
_cell_angle_gamma 90.00
_symmetry_space_group_name_H-M 'I 4/m'
_symmetry_Int_Tables_number 87
_symmetry_space_group_name_Hall '-I 4'
loop_
_atom_site_label
_atom_site_type_symbol
_atom_site_fract_x
_atom_site_fract_y
_atom_site_fract_z
Y1 Y 0.0000 0.0000 0.0000
Zn1 Zn 0.1165 0.2123 0.5000
Ag1 Ag 0.0815 0.3582 0.0000
```

Most intense lines, 2θ from 10° to 80°, by intensity:
2θ (°), I/Imax
42.94, 100.0
37.07, 73.7
33.33, 55.0
38.40, 50.4
30.27, 35.2
51.75, 30.2
72.58, 19.5
74.25, 17.9
14.74, 17.2
70.29, 14.8

---

2.
# Er6Fe2Cu
Theoretical XRD peak list, Cu Ka. Input: a PBE-relaxed structure.
Neutral-atom scattering factors, no anomalous dispersion.

Structural model:
```
data_Er6Fe2Cu
_cell_length_a 9.2730
_cell_length_b 9.2902
_cell_length_c 9.7204
_cell_angle_alpha 90.00
_cell_angle_beta 90.00
_cell_angle_gamma 90.00
_symmetry_space_group_name_H-M 'I m m m'
_symmetry_Int_Tables_number 71
_symmetry_space_group_name_Hall '-I 2 2'
loop_
_atom_site_label
_atom_site_type_symbol
_atom_site_fract_x
_atom_site_fract_y
_atom_site_fract_z
Er1 Er 0.0000 0.2015 0.1850
Er2 Er 0.1856 0.2146 0.5000
Er3 Er 0.2015 0.5000 0.2758
Fe1 Fe 0.0000 0.0000 0.3900
Fe2 Fe 0.1190 0.0000 0.0000
Cu1 Cu 0.0000 0.5000 0.0000
Cu2 Cu 0.0000 0.5000 0.5000
```

Most intense lines, 2θ from 10° to 80°, by intensity:
2θ (°), I/Imax
32.93, 100.0
36.10, 42.4
35.13, 39.8
35.75, 39.0
38.79, 28.4
30.44, 25.8
61.25, 23.7
30.34, 21.6
29.19, 20.0
55.86, 15.9